Structure and simulated X-ray diffraction stick pattern of CuClO (a crystal structure in the Materials Project, relaxed with GGA-PBE; Cu Kα (λ = 1.5418 Å)).

Cell and atoms:
```
data_CuClO
_chemical_formula_sum 'Cu16 Cl16 O16'
_cell_length_a 10.973
_cell_length_b 6.686
_cell_length_c 12.832
_cell_angle_alpha 90.00
_cell_angle_beta 90.00
_cell_angle_gamma 90.00
_symmetry_space_group_name_H-M 'P n a 21'
_symmetry_Int_Tables_number 33
loop_
_symmetry_equiv_pos_as_xyz
'x,y,z'
'-x,-y,z+1/2'
'-x+1/2,y+1/2,z+1/2'
'x+1/2,-y+1/2,z'
loop_
_atom_site_label
_atom_site_fract_x
_atom_site_fract_y
_atom_site_fract_z
Cu1 0.040 0.026 0.000
Cu2 0.059 0.528 0.023
Cu3 0.175 0.302 0.546
Cu4 0.224 0.696 0.473
Cl1 0.027 0.737 0.702
Cl2 0.120 0.930 0.393
Cl3 0.157 0.745 0.815
Cl4 0.220 0.573 0.130
O1 0.013 0.218 0.555
O2 0.099 0.506 0.471
O3 0.112 0.283 0.971
O4 0.200 0.987 0.045
```

Largest 10 diffraction maxima, in order of rising 2θ, 2θ = 15–90°:
two_theta	d [Å]	Rel. int.	(hkl)
24.71	3.603	100	0 1 3
25.17	3.538	49	2 1 2
26.03	3.423	36	1 1 3
27.81	3.208	50	0 0 4
32.12	2.787	53	2 2 1
33.40	2.683	41	4 0 1
34.38	2.608	92	2 2 2
37.89	2.374	42	2 2 3
39.00	2.309	57	4 0 3
57.93	1.592	45	6 2 1

=====

Structure and simulated X-ray diffraction stick pattern of CrRh (a crystal structure in the Materials Project, relaxed with GGA-PBE; Cu Kα (λ = 1.5418 Å)).

Cell and atoms:
```
data_CrRh
_chemical_formula_sum 'Cr1 Rh1'
_cell_length_a 2.6730
_cell_length_b 2.6730
_cell_length_c 4.2194
_cell_angle_alpha 90.00
_cell_angle_beta 90.00
_cell_angle_gamma 120.00
_symmetry_space_group_name_H-M 'P -6 m 2'
_symmetry_Int_Tables_number 187
_symmetry_space_group_name_Hall 'P -6 2'
loop_
_atom_site_label
_atom_site_fract_x
_atom_site_fract_y
_atom_site_fract_z
Cr1 0.0000 0.0000 0.0000
Rh1 0.6667 0.3333 0.5000
```

Largest 10 diffraction maxima, in order of rising 2θ, 2θ = 15–90°:
two_theta	d [Å]	Rel. int.	(hkl)
21.06	4.219	16	0 0 1
38.91	2.315	32	1 0 0
42.87	2.110	24	0 0 2
44.65	2.029	100	1 0 1
59.26	1.559	18	1 0 2
70.46	1.336	15	1 1 0
74.47	1.274	4	1 1 1
79.79	1.202	17	1 0 3
86.13	1.129	18	1 1 2
87.37	1.116	14	2 0 1

=====

Structure and simulated X-ray diffraction stick pattern of LiMg14Al (a crystal structure in the Materials Project, relaxed with GGA-PBE; Cu Kα (λ = 1.5418 Å)).

Cell and atoms:
```
data_LiMg14Al
_chemical_formula_sum 'Li2 Mg28 Al2'
_cell_length_a 10.335
_cell_length_b 6.319
_cell_length_c 10.887
_cell_angle_alpha 90.00
_cell_angle_beta 90.00
_cell_angle_gamma 90.00
_symmetry_space_group_name_H-M 'A m m 2'
_symmetry_Int_Tables_number 38
loop_
_symmetry_equiv_pos_as_xyz
'x,y,z'
'-x,-y,z'
'-x,y,z'
'x,-y,z'
'x,y+1/2,z+1/2'
'-x,-y+1/2,z+1/2'
'-x,y+1/2,z+1/2'
'x,-y+1/2,z+1/2'
loop_
_atom_site_label
_atom_site_fract_x
_atom_site_fract_y
_atom_site_fract_z
Li1 0.000 0.000 0.000
Mg1 0.000 0.248 0.248
Mg2 0.245 0.248 0.418
Mg3 0.247 0.000 0.664
Mg4 0.250 0.000 0.166
Mg5 0.500 0.000 0.499
Mg6 0.500 0.000 0.999
Mg7 0.500 0.250 0.250
Al1 0.000 0.000 0.498
```

Largest 10 diffraction maxima, in order of rising 2θ, 2θ = 15–90°:
two_theta	d [Å]	Rel. int.	(hkl)
32.78	2.732	24	0 2 2
32.91	2.722	12	0 0 4
34.72	2.584	40	4 0 0
37.22	2.416	100	2 2 2
37.34	2.408	49	2 0 4
48.52	1.876	23	4 0 4
58.68	1.573	17	0 2 6
63.91	1.457	28	6 2 2
70.01	1.344	19	4 2 6
71.42	1.321	13	2 4 4

=====

Structure and simulated X-ray diffraction stick pattern of Sr6MgTe8O22 (a crystal structure in the Materials Project, relaxed with GGA-PBE; Cu Kα (λ = 1.5418 Å)).

Cell and atoms:
```
data_Sr6MgTe8O22
_chemical_formula_sum 'Sr6 Mg1 Te8 O22'
_cell_length_a 7.613
_cell_length_b 9.335
_cell_length_c 9.925
_cell_angle_alpha 93.75
_cell_angle_beta 98.62
_cell_angle_gamma 107.96
_symmetry_space_group_name_H-M 'P 1'
_symmetry_Int_Tables_number 1
loop_
_symmetry_equiv_pos_as_xyz
'x,y,z'
loop_
_atom_site_label
_atom_site_fract_x
_atom_site_fract_y
_atom_site_fract_z
Sr1 0.000 0.000 0.000
Sr2 0.004 0.462 0.476
Sr3 0.356 0.721 0.858
Sr4 0.418 0.227 0.372
Sr5 0.534 0.639 0.460
Sr6 0.862 0.030 0.357
Mg1 0.913 0.859 0.692
Te1 0.204 0.411 0.114
Te2 0.218 0.867 0.542
Te3 0.238 0.817 0.221
Te4 0.248 0.273 0.701
Te5 0.627 0.140 0.068
Te6 0.719 0.110 0.664
Te7 0.723 0.544 0.770
Te8 0.732 0.593 0.171
O1 0.019 0.646 0.256
O2 0.132 0.975 0.252
O3 0.144 0.219 0.512
O4 0.162 0.438 0.735
O5 0.168 0.799 0.027
O6 0.190 0.888 0.735
O7 0.261 0.440 0.309
O8 0.274 0.237 0.086
O9 0.293 0.691 0.580
O10 0.427 0.060 0.573
O11 0.430 0.558 0.076
O12 0.493 0.414 0.622
O13 0.535 0.050 0.222
O14 0.620 0.968 0.956
O15 0.681 0.451 0.299
O16 0.712 0.919 0.568
O17 0.714 0.758 0.279
O18 0.766 0.222 0.515
O19 0.783 0.761 0.841
O20 0.824 0.628 0.610
O21 0.884 0.185 0.150
O22 0.984 0.107 0.752
```

Largest 10 diffraction maxima, in order of rising 2θ, 2θ = 15–90°:
two_theta	d [Å]	Rel. int.	(hkl)
19.98	4.445	29	1 -2 0
25.00	3.562	28	2 0 0
26.63	3.348	54	2 -1 1
27.00	3.302	100	1 2 0
27.27	3.271	78	-1 2 2
28.13	3.172	79	0 1 -3
28.27	3.157	66	2 0 -2
29.91	2.987	57	1 -3 1
42.47	2.128	29	1 3 -3
49.09	1.856	27	3 2 -2